1.
Starting from a crystal structure in Alexandria, relaxed with PBE, the powder diffraction line list of SmThGa3 was calculated for λ = 1.5418 Å (Cu Kα).
Peak positions follow from Bragg's law for the DFT cell and can differ from measured ones.

The 10 most intense peaks (2θ = 10–80°), by angle:
Position (°2θ)  I/Imax  (hkl)
25.19  28  0 4 1
29.96  17  1 1 1
31.50  100  1 3 1
31.65  63  1 7 0
40.51  30  0 10 1
42.05  26  2 0 0
43.12  24  0 0 2
54.46  27  1 7 2
59.81  19  2 10 1
70.29  19  3 7 0

Atomic structure:
a = 4.297 Å, b = 26.271 Å, c = 4.196 Å
α = 90.00°, β = 90.00°, γ = 90.00°
Space group Cmcm (No. 63)
Inequivalent atoms, fractional coordinates:
Sm 0.000 0.071 0.250
Th 0.000 0.205 0.750
Ga 0.000 0.328 0.750
Ga 0.000 0.383 0.250
Ga 0.000 0.477 0.250



2.
Starting from a crystal structure in Alexandria, relaxed with PBE, the powder diffraction line list of SmThGa4 was calculated for λ = 1.5418 Å (Cu Kα).
Peak positions follow from Bragg's law for the DFT cell and can differ from measured ones.

The 10 most intense peaks (2θ = 10–80°), by angle:
Position (°2θ)  I/Imax  (hkl)
27.71  38  1 0 3
32.15  100  1 1 2
37.02  50  1 0 5
42.55  38  2 0 0
48.08  24  1 0 7
51.54  14  2 1 3
57.65  28  2 1 5
61.74  13  2 2 0
66.12  19  2 1 7
71.33  20  3 1 2

Atomic structure:
a = 4.250 Å, b = 4.250 Å, c = 14.794 Å
α = 90.00°, β = 90.00°, γ = 90.00°
Space group I-4m2 (No. 119)
Inequivalent atoms, fractional coordinates:
Sm 0.000 0.000 0.000
Th 0.000 0.500 0.750
Ga 0.000 0.000 0.418
Ga 0.000 0.500 0.167



3.
Starting from a crystal structure in Alexandria, relaxed with PBE, the powder diffraction line list of Sm4TlGa3 was calculated for λ = 1.5418 Å (Cu Kα).
Peak positions follow from Bragg's law for the DFT cell and can differ from measured ones.

The 10 most intense peaks (2θ = 10–80°), by angle:
Position (°2θ)  I/Imax  (hkl)
20.75  4  2 1 0
26.91  3  2 1 1
34.19  100  4 0 0
34.27  20  0 0 2
48.96  7  0 4 0
49.24  14  4 0 2
61.11  15  4 4 0
61.30  30  6 2 1
71.97  9  4 4 2
72.20  5  8 0 0

Atomic structure:
a = 10.469 Å, b = 7.442 Å, c = 5.233 Å
α = 90.00°, β = 90.00°, γ = 90.00°
Space group Pmma (No. 51)
Inequivalent atoms, fractional coordinates:
Sm 0.000 0.242 0.000
Sm 0.250 0.242 0.498
Tl 0.000 0.500 0.500
Ga 0.000 0.000 0.500
Ga 0.250 0.000 0.997
Ga 0.250 0.500 0.998



4.
Starting from a crystal structure in Alexandria, relaxed with PBE, the powder diffraction line list of Sm4Tl2Ga was calculated for λ = 1.5418 Å (Cu Kα).
Peak positions follow from Bragg's law for the DFT cell and can differ from measured ones.

The 10 most intense peaks (2θ = 10–80°), by angle:
Position (°2θ)  I/Imax  (hkl)
14.50  14  1 1 1
22.20  16  1 -1 1
33.79  100  2 1 -1
33.88  100  2 3 1
48.44  12  0 0 4
48.59  12  0 4 0
48.79  12  4 2 2
60.36  12  2 3 5
60.48  24  2 5 3
60.62  30  4 4 4

Atomic structure:
a = 7.467 Å, b = 8.371 Å, c = 8.389 Å
α = 78.46°, β = 63.65°, γ = 63.55°
Space group P-1 (No. 2)
Inequivalent atoms, fractional coordinates:
Sm 0.000 0.240 0.260
Sm 0.230 0.760 0.260
Sm 0.249 0.240 0.740
Sm 0.500 0.240 0.260
Tl 0.249 0.500 0.000
Tl 0.500 0.000 0.000
Tl 0.500 0.500 0.500
Ga 0.247 0.003 0.503